# Li4Nb2Co3Sb3O16
Calculated powder X-ray diffraction pattern, CuKα. Input: a PBE+U-relaxed structure.

Most intense lines, 2θ from 10° to 90°, in order of falling intensity:
2θ/deg	I_rel
34.3	1000
17.9	999
18.7	865
33.9	778
18.6	726
18.9	682
43.1	550
31.6	547
34.4	471
24.3	464

Structure:
Cell lengths 6.207, 6.218, 9.908 Å; angles 89.29, 89.27, 60.59 degrees
Fractional positions:
Li1 0.000 0.000 0.000
Li2 0.001 0.008 0.516
Li3 0.359 0.328 0.422
Li4 0.696 0.672 0.912
Nb1 0.356 0.365 0.993
Nb2 0.698 0.677 0.513
Co1 0.192 0.663 0.726
Co2 0.682 0.177 0.730
Co3 0.857 0.835 0.226
Sb1 0.196 0.172 0.730
Sb2 0.356 0.843 0.232
Sb3 0.847 0.350 0.231
O1 0.019 0.004 0.814
O2 0.061 0.474 0.855
O3 0.157 0.666 0.094
O4 0.162 0.193 0.111
O5 0.363 0.331 0.624
O6 0.363 0.842 0.606
O7 0.484 0.042 0.867
O8 0.506 0.483 0.863
O9 0.546 0.956 0.366
O10 0.560 0.499 0.369
O11 0.681 0.200 0.112
O12 0.709 0.657 0.116
O13 0.860 0.824 0.604
O14 0.873 0.342 0.610
O15 0.982 0.510 0.357
O16 0.989 0.030 0.332

***

# Li4Nb2Co3Sn3O16
Calculated powder X-ray diffraction pattern, CuKα. Input: a PBE+U-relaxed structure.

Most intense lines, 2θ from 10° to 90°, in order of falling intensity:
2θ/deg	I_rel
18.9	1000
43.6	583
34.8	568
17.9	546
34.3	439
31.8	318
34.7	311
59.9	286
24.5	275
24.5	256

Structure:
Cell lengths 6.178, 10.676, 11.657 Å; angles 62.79, 74.71, 89.78 degrees
Fractional positions:
Li1 0.000 0.000 0.000
Li2 0.012 0.698 0.918
Li3 0.234 0.239 0.514
Li4 0.276 0.618 0.422
Li5 0.500 0.500 0.000
Li6 0.512 0.198 0.918
Li7 0.734 0.739 0.514
Li8 0.777 0.118 0.422
Nb1 0.212 0.899 0.514
Nb2 0.460 0.822 0.995
Nb3 0.713 0.399 0.514
Nb4 0.960 0.322 0.995
Co1 0.113 0.300 0.728
Co2 0.127 0.965 0.231
Co3 0.371 0.042 0.728
Co4 0.613 0.800 0.728
Co5 0.627 0.465 0.231
Co6 0.871 0.542 0.729
Sn1 0.117 0.463 0.231
Sn2 0.359 0.542 0.733
Sn3 0.368 0.211 0.231
Sn4 0.616 0.963 0.231
Sn5 0.859 0.042 0.733
Sn6 0.869 0.711 0.231
O1 0.037 0.560 0.357
O2 0.052 0.539 0.870
O3 0.076 0.087 0.815
O4 0.089 0.056 0.363
O5 0.169 0.514 0.626
O6 0.175 0.021 0.605
O7 0.183 0.855 0.109
O8 0.190 0.359 0.112
O9 0.269 0.322 0.869
O10 0.311 0.835 0.363
O11 0.317 0.815 0.872
O12 0.325 0.332 0.328
O13 0.421 0.774 0.605
O14 0.429 0.103 0.119
O15 0.429 0.609 0.109
O16 0.438 0.278 0.604
O17 0.537 0.060 0.357
O18 0.552 0.039 0.870
O19 0.576 0.586 0.816
O20 0.589 0.556 0.363
O21 0.669 0.014 0.626
O22 0.675 0.521 0.604
O23 0.683 0.355 0.109
O24 0.690 0.859 0.112
O25 0.769 0.822 0.870
O26 0.811 0.335 0.364
O27 0.817 0.314 0.872
O28 0.825 0.832 0.328
O29 0.921 0.274 0.605
O30 0.929 0.109 0.109
O31 0.929 0.603 0.119
O32 0.938 0.778 0.603

***

# Li4Ti2Nb3Co3O16
Calculated powder X-ray diffraction pattern, CuKα. Input: a PBE+U-relaxed structure.

Most intense lines, 2θ from 10° to 90°, in order of falling intensity:
2θ/deg	I_rel
18.0	1000
19.1	636
35.4	567
44.3	346
44.0	284
19.3	273
61.6	231
24.7	212
34.6	212
58.4	176

Structure:
Cell lengths 6.021, 6.021, 9.852 Å; angles 90.43, 90.43, 60.81 degrees
Fractional positions:
Li1 0.000 0.000 0.000
Li2 0.017 0.017 0.513
Li3 0.327 0.327 0.608
Li4 0.663 0.663 0.095
Ti1 0.324 0.324 0.988
Ti2 0.634 0.634 0.514
Nb1 0.155 0.648 0.283
Nb2 0.648 0.155 0.283
Nb3 0.817 0.817 0.770
Co1 0.184 0.184 0.287
Co2 0.339 0.823 0.790
Co3 0.823 0.339 0.790
O1 0.034 0.494 0.149
O2 0.160 0.648 0.905
O3 0.167 0.167 0.906
O4 0.336 0.816 0.406
O5 0.346 0.346 0.409
O6 0.481 0.481 0.170
O7 0.494 0.034 0.149
O8 0.514 0.514 0.649
O9 0.526 0.960 0.648
O10 0.648 0.160 0.905
O11 0.672 0.672 0.899
O12 0.816 0.336 0.406
O13 0.832 0.832 0.398
O14 0.960 0.526 0.648
O15 0.994 0.994 0.699
O16 0.995 0.995 0.192

***

# Li4Nb3V3Co2O16
Calculated powder X-ray diffraction pattern, CuKα. Input: a PBE+U-relaxed structure.

Most intense lines, 2θ from 10° to 90°, in order of falling intensity:
2θ/deg	I_rel
19.2	1000
18.1	943
35.5	534
44.4	441
32.3	426
24.9	424
34.8	398
58.9	343
61.1	297
39.0	271

Structure:
Cell lengths 6.065, 6.065, 9.787 Å; angles 90.01, 90.01, 59.61 degrees
Fractional positions:
Li1 0.000 0.000 0.000
Li2 0.005 0.005 0.492
Li3 0.348 0.348 0.593
Li4 0.679 0.679 0.108
Nb1 0.183 0.183 0.274
Nb2 0.353 0.848 0.777
Nb3 0.848 0.353 0.777
V1 0.188 0.670 0.278
V2 0.670 0.188 0.278
V3 0.843 0.843 0.781
Co1 0.355 0.355 0.011
Co2 0.682 0.682 0.473
O1 0.014 0.014 0.672
O2 0.017 0.017 0.179
O3 0.046 0.494 0.156
O4 0.170 0.170 0.894
O5 0.172 0.696 0.886
O6 0.331 0.854 0.390
O7 0.336 0.336 0.395
O8 0.494 0.046 0.156
O9 0.496 0.496 0.161
O10 0.524 0.983 0.665
O11 0.527 0.527 0.660
O12 0.673 0.673 0.896
O13 0.696 0.172 0.886
O14 0.853 0.853 0.383
O15 0.854 0.331 0.390
O16 0.983 0.524 0.665

***

# SrLiNdCoO4
Calculated powder X-ray diffraction pattern, CuKα. Input: a PBE+U-relaxed structure.

Most intense lines, 2θ from 10° to 90°, in order of falling intensity:
2θ/deg	I_rel
31.9	1000
12.4	498
33.2	401
21.3	363
36.8	361
32.8	335
43.4	299
23.4	255
24.9	212
47.9	192

Structure:
Cell lengths 3.831, 4.167, 7.227 Å; angles 89.36, 82.05, 89.88 degrees
Fractional positions:
Sr1 0.000 0.000 0.000
Li1 0.505 0.495 0.726
Nd1 0.928 0.999 0.493
Co1 0.445 0.499 0.272
O1 0.123 0.497 0.576
O2 0.484 0.997 0.292
O3 0.562 0.997 0.784
O4 0.970 0.497 0.187

***

# SrLiNdCoO4
Calculated powder X-ray diffraction pattern, CuKα. Input: a PBE+U-relaxed structure.

Most intense lines, 2θ from 10° to 90°, in order of falling intensity:
2θ/deg	I_rel
28.3	1000
27.9	966
33.6	520
48.6	517
34.1	500
34.4	385
40.2	336
34.8	323
29.8	291
45.6	263

Structure:
Cell lengths 3.743, 3.747, 9.315 Å; angles 100.76, 100.65, 90.69 degrees
Fractional positions:
Sr1 0.000 0.000 0.000
Li1 0.220 0.218 0.399
Nd1 0.360 0.359 0.700
Co1 0.753 0.751 0.470
O1 0.261 0.758 0.486
O2 0.483 0.482 0.961
O3 0.762 0.260 0.490
O4 0.884 0.882 0.746

***

> Number 2 is which compound?

Li4Nb2Co3Sn3O16